Structure and computed powder diffraction line list of KCoH3C3O6 (the PBE+U geometry in Alexandria; Cu Kα (weighted mean of Kα1 and Kα2)).

Principal peaks in the range 2θ = 15–90°, in order of rising 2θ:
two_theta, I_rel, hkl
17.7, 100, 1 0 1
27.0, 25, 1 1 1
32.7, 55, 1 1 2
43.3, 13, 2 0 3
43.8, 12, 3 0 0
50.0, 14, 1 1 4

Cell and atoms:
```
data_KCoH3C3O6
_chemical_formula_sum 'K2 Co2 H6 C6 O12'
_space_group_name_H-M_alt 'P 1'
_space_group_IT_number 1
_cell_length_a 7.1643
_cell_length_b 7.1643
_cell_length_c 8.4856
_cell_angle_alpha 90.00
_cell_angle_beta 90.00
_cell_angle_gamma 120.00
loop_
_space_group_symop_operation_xyz
'x,y,z'
loop_
_atom_site_label
_atom_site_type_symbol
_atom_site_fract_x
_atom_site_fract_y
_atom_site_fract_z
K1 K 0.0000 0.0000 0.2500
K2 K 0.0000 0.0000 0.7500
Co1 Co 0.3333 0.6667 0.2500
Co2 Co 0.6667 0.3333 0.7500
H1 H 0.0000 0.4083 0.0000
H2 H 0.0000 0.5917 0.5000
H3 H 0.4083 0.0000 0.0000
H4 H 0.4083 0.4083 0.5000
H5 H 0.5917 0.0000 0.5000
H6 H 0.5917 0.5917 0.0000
C1 C 0.0000 0.4376 0.5000
C2 C 0.0000 0.5624 0.0000
C3 C 0.4376 0.0000 0.5000
C4 C 0.4376 0.4376 0.0000
C5 C 0.5624 0.0000 0.0000
C6 C 0.5624 0.5624 0.5000
O1 O 0.1031 0.4058 0.3912
O2 O 0.1031 0.6973 0.1088
O3 O 0.3027 0.4058 0.1088
O4 O 0.3027 0.8969 0.3912
O5 O 0.4058 0.1031 0.6088
O6 O 0.4058 0.3027 0.8912
O7 O 0.5942 0.6973 0.3912
O8 O 0.5942 0.8969 0.1088
O9 O 0.6973 0.1031 0.8912
O10 O 0.6973 0.5942 0.6088
O11 O 0.8969 0.3027 0.6088
O12 O 0.8969 0.5942 0.8912
```